No. 1
# Tm2Tl5Cd
Simulated powder XRD pattern, CuKα. Input: a cell relaxed with PBE.
Intensities are scaled so that the largest is 100.

Structure:
```
data_Tm2Tl5Cd
_cell_length_a 6.5923
_cell_length_b 13.2762
_cell_length_c 4.7594
_cell_angle_alpha 90.00
_cell_angle_beta 90.00
_cell_angle_gamma 90.00
_space_group_name_H-M_alt 'P b a m'
_space_group_IT_number 55
loop_
_space_group_symop_operation_xyz
'x,y,z'
'-x,-y,-z'
'-x,-y,z'
'x,y,-z'
'x+1/2,-y+1/2,-z'
'-x+1/2,y+1/2,z'
'-x+1/2,y+1/2,-z'
'x+1/2,-y+1/2,z'
loop_
_atom_site_label
_atom_site_type_symbol
_atom_site_fract_x
_atom_site_fract_y
_atom_site_fract_z
Tm1 Tm 0.2320 0.1282 0.0000
Tl1 Tl 0.0000 0.0000 0.5000
Tl2 Tl 0.0215 0.7455 0.5000
Tl3 Tl 0.2276 0.3811 0.0000
Cd1 Cd 0.0000 0.5000 0.5000
```

Largest 10 diffraction maxima, by angle, 5° ≤ 2θ ≤ 70°:
(0 4 1), 2θ = 32.90°, I = 100
(2 0 1), 2θ = 33.06°, I = 95
(0 0 2), 2θ = 37.80°, I = 35
(2 4 0), 2θ = 38.49°, I = 62
(2 4 2), 2θ = 55.05°, I = 45
(0 8 0), 2θ = 55.36°, I = 11
(0 4 3), 2θ = 65.22°, I = 28
(2 8 1), 2θ = 66.01°, I = 25
(4 4 1), 2θ = 66.30°, I = 22
(0 8 2), 2θ = 68.99°, I = 12

=====

No. 2
# Tm7TlCd4
Simulated powder XRD pattern, CuKα. Input: a cell relaxed with PBE.
Intensities are scaled so that the largest is 100.

Structure:
```
data_Tm7TlCd4
_cell_length_a 14.5463
_cell_length_b 5.6980
_cell_length_c 9.3141
_cell_angle_alpha 90.00
_cell_angle_beta 121.42
_cell_angle_gamma 90.00
_space_group_name_H-M_alt 'C 1 2/m 1'
_space_group_IT_number 12
loop_
_space_group_symop_operation_xyz
'x,y,z'
'-x,-y,-z'
'-x,y,-z'
'x,-y,z'
'x+1/2,y+1/2,z'
'-x+1/2,-y+1/2,-z'
'-x+1/2,y+1/2,-z'
'x+1/2,-y+1/2,z'
loop_
_atom_site_label
_atom_site_type_symbol
_atom_site_fract_x
_atom_site_fract_y
_atom_site_fract_z
Tm1 Tm 0.0000 0.0000 0.0000
Tm2 Tm 0.0766 0.5000 0.4213
Tm3 Tm 0.1915 0.5000 0.8740
Tm4 Tm 0.2463 0.0000 0.7116
Tl1 Tl 0.0000 0.5000 0.0000
Cd1 Cd 0.0369 0.0000 0.6908
Cd2 Cd 0.1840 0.0000 0.3470
```

Largest 10 diffraction maxima, by angle, 5° ≤ 2θ ≤ 70°:
(4 0 0), 2θ = 28.77°, I = 20
(4 0 -3), 2θ = 30.91°, I = 46
(1 1 2), 2θ = 31.21°, I = 42
(0 2 0), 2θ = 31.40°, I = 100
(2 0 2), 2θ = 32.47°, I = 40
(3 1 -3), 2θ = 33.11°, I = 56
(1 1 -3), 2θ = 34.51°, I = 27
(5 1 -1), 2θ = 35.46°, I = 86
(4 2 -3), 2θ = 44.64°, I = 34
(2 2 2), 2θ = 45.80°, I = 31

=====

No. 3
# TlCd2W
Simulated powder XRD pattern, CuKα. Input: a cell relaxed with PBE.
Intensities are scaled so that the largest is 100.

Structure:
```
data_TlCd2W
_cell_length_a 3.0992
_cell_length_b 3.0992
_cell_length_c 30.4232
_cell_angle_alpha 90.00
_cell_angle_beta 90.00
_cell_angle_gamma 120.00
_space_group_name_H-M_alt 'R -3 m'
_space_group_IT_number 166
_space_group_name_Hall '-R 3 2"'
loop_
_atom_site_label
_atom_site_type_symbol
_atom_site_fract_x
_atom_site_fract_y
_atom_site_fract_z
Tl1 Tl 0.0000 0.0000 0.0000
Cd1 Cd 0.0000 0.0000 0.2434
W1 W 0.0000 0.0000 0.5000
```

Largest 10 diffraction maxima, by angle, 5° ≤ 2θ ≤ 70°:
(0 0 6), 2θ = 17.49°, I = 9
(0 0 9), 2θ = 26.37°, I = 2
(0 1 2), 2θ = 33.92°, I = 5
(1 0 4), 2θ = 35.45°, I = 100
(0 1 8), 2θ = 41.17°, I = 49
(1 0 10), 2θ = 45.04°, I = 3
(1 0 13), 2θ = 51.83°, I = 1
(0 0 18), 2θ = 54.30°, I = 3
(1 1 0), 2θ = 59.63°, I = 31
(1 1 6), 2θ = 62.69°, I = 2

=====

No. 4
# Y2Tl2Cd3
Simulated powder XRD pattern, CuKα. Input: a cell relaxed with PBE.
Intensities are scaled so that the largest is 100.

Structure:
```
data_Y2Tl2Cd3
_cell_length_a 4.6733
_cell_length_b 22.4240
_cell_length_c 3.4885
_cell_angle_alpha 90.00
_cell_angle_beta 90.00
_cell_angle_gamma 90.00
_space_group_name_H-M_alt 'C m m m'
_space_group_IT_number 65
_space_group_name_Hall '-C 2 2'
loop_
_atom_site_label
_atom_site_type_symbol
_atom_site_fract_x
_atom_site_fract_y
_atom_site_fract_z
Y1 Y 0.0000 0.1486 0.0000
Tl1 Tl 0.0000 0.2920 0.5000
Cd1 Cd 0.0000 0.0000 0.0000
Cd2 Cd 0.0000 0.4334 0.5000
```

Largest 10 diffraction maxima, by angle, 5° ≤ 2θ ≤ 70°:
(0 2 0), 2θ = 7.89°, I = 26
(1 1 1), 2θ = 32.27°, I = 82
(1 7 0), 2θ = 33.93°, I = 100
(1 3 1), 2θ = 34.25°, I = 17
(0 6 1), 2θ = 35.19°, I = 21
(1 5 1), 2θ = 37.93°, I = 26
(2 0 0), 2θ = 38.53°, I = 37
(0 8 1), 2θ = 41.32°, I = 27
(2 8 1), 2θ = 57.77°, I = 21
(1 7 2), 2θ = 63.96°, I = 33

=====

No. 5
# Y7Tl2Cd2
Simulated powder XRD pattern, CuKα. Input: a cell relaxed with PBE.
Intensities are scaled so that the largest is 100.

Structure:
```
data_Y7Tl2Cd2
_cell_length_a 7.6564
_cell_length_b 11.2863
_cell_length_c 8.0379
_cell_angle_alpha 90.00
_cell_angle_beta 90.00
_cell_angle_gamma 90.00
_space_group_name_H-M_alt 'C m m m'
_space_group_IT_number 65
_space_group_name_Hall '-C 2 2'
loop_
_atom_site_label
_atom_site_type_symbol
_atom_site_fract_x
_atom_site_fract_y
_atom_site_fract_z
Y1 Y 0.0000 0.0000 0.0000
Y2 Y 0.0000 0.5000 0.2426
Y3 Y 0.2500 0.2500 0.2898
Tl1 Tl 0.1923 0.0000 0.5000
Cd1 Cd 0.0000 0.2838 0.0000
```

Largest 10 diffraction maxima, by angle, 5° ≤ 2θ ≤ 70°:
(0 2 1), 2θ = 19.22°, I = 43
(2 0 1), 2θ = 25.78°, I = 65
(1 1 2), 2θ = 26.26°, I = 32
(0 4 0), 2θ = 31.71°, I = 52
(1 3 2), 2θ = 34.70°, I = 35
(2 2 2), 2θ = 36.10°, I = 100
(0 2 3), 2θ = 37.15°, I = 30
(2 4 1), 2θ = 41.31°, I = 29
(3 3 1), 2θ = 44.32°, I = 29
(2 6 2), 2θ = 59.36°, I = 20

=====

No. 6
# Y4Tl2Cd
Simulated powder XRD pattern, CuKα. Input: a cell relaxed with PBE.
Intensities are scaled so that the largest is 100.

Structure:
```
data_Y4Tl2Cd
_cell_length_a 5.2710
_cell_length_b 5.2710
_cell_length_c 25.6535
_cell_angle_alpha 90.00
_cell_angle_beta 90.00
_cell_angle_gamma 120.00
_space_group_name_H-M_alt 'R -3 m'
_space_group_IT_number 166
_space_group_name_Hall '-R 3 2"'
loop_
_atom_site_label
_atom_site_type_symbol
_atom_site_fract_x
_atom_site_fract_y
_atom_site_fract_z
Y1 Y 0.0000 0.0000 0.1209
Y2 Y 0.0000 0.0000 0.3725
Tl1 Tl 0.0000 0.0000 0.2502
Cd1 Cd 0.0000 0.0000 0.5000
```

Largest 10 diffraction maxima, by angle, 5° ≤ 2θ ≤ 70°:
(0 0 3), 2θ = 10.34°, I = 7
(0 1 2), 2θ = 20.65°, I = 35
(0 0 6), 2θ = 20.78°, I = 13
(1 0 4), 2θ = 23.93°, I = 7
(1 1 0), 2θ = 34.02°, I = 100
(0 1 8), 2θ = 34.17°, I = 98
(1 1 6), 2θ = 40.17°, I = 21
(2 0 8), 2θ = 48.99°, I = 35
(3 0 0), 2θ = 60.95°, I = 54
(1 0 16), 2θ = 61.28°, I = 17